The following is a theoretical X-ray powder pattern of Hf2Ta4Si3N3. It was derived from a structure optimized by DFT (GGA-PBE), using λ = 1.5418 Å (Cu Kα).
Kinematic intensities with the Lorentz-polarization factor, no thermal factor.

Crystal structure
a b c (Å): 9.5175 5.5257 13.1279
angles (deg): 90.00 103.91 90.00
Space group C2/c (No. 15)
One atom of each set of equivalent atoms:
Hf1 0.0485 0.0833 0.3922 [8 per cell]
Ta1 0.1128 0.4219 0.5882 [8 per cell]
Ta2 0.2183 0.4144 0.9124 [8 per cell]
Si1 0.0000 0.4653 0.2500 [4 per cell]
Si2 0.1915 0.1098 0.7491 [8 per cell]
N1 0.0764 0.2304 0.0000 [8 per cell]
N2 0.2500 0.2500 0.5000 [4 per cell]

Top 6 peaks for 10 to 80 degrees two-theta, in order of falling intensity:
- (3 1 2), 2θ = 39.0°, I = 100
- (0 2 3), 2θ = 38.9°, I = 49
- (0 0 2), 2θ = 13.9°, I = 41
- (3 1 0), 2θ = 33.3°, I = 34
- (0 0 4), 2θ = 28.0°, I = 24
- (3 1 -1), 2θ = 32.5°, I = 24



The following is a theoretical X-ray powder pattern of Hf2Si3W4N3. It was derived from a structure optimized by DFT (GGA-PBE), using λ = 1.5418 Å (Cu Kα).
Kinematic intensities with the Lorentz-polarization factor, no thermal factor.

Crystal structure
a b c (Å): 8.9041 5.1938 13.7491
angles (deg): 90.00 102.63 90.00
Space group C2/c (No. 15)
One atom of each set of equivalent atoms:
Hf1 0.0430 0.0809 0.3813 [8 per cell]
Si1 0.0000 0.4358 0.7500 [4 per cell]
Si2 0.2398 0.1570 0.7494 [8 per cell]
W1 0.1156 0.4264 0.5922 [8 per cell]
W2 0.2139 0.4166 0.9072 [8 per cell]
N1 0.0753 0.2252 0.0002 [8 per cell]
N2 0.2500 0.2500 0.5000 [4 per cell]

Top 6 peaks for 10 to 80 degrees two-theta, in order of falling intensity:
- (3 1 -4), 2θ = 40.3°, I = 100
- (3 1 2), 2θ = 40.4°, I = 68
- (3 1 0), 2θ = 35.5°, I = 68
- (0 0 4), 2θ = 26.6°, I = 65
- (0 2 3), 2θ = 40.2°, I = 65
- (0 0 2), 2θ = 13.2°, I = 46